For SnSe, a crystal structure in the Materials Project, relaxed with PBE gives the simulated X-ray powder pattern in this record (CuKα).

Structural model:
Lattice parameters (Å, degrees): 11.986 4.299 4.279 90.00 90.00 90.00
Space group Pnma (No. 62)
One atom of each set of equivalent atoms:
Sn 0.127 0.250 0.009 (multiplicity 4)
Se 0.144 0.750 0.505 (multiplicity 4)

Largest 10 diffraction maxima, in order of rising 2θ, 2θ = 5–70°:
- (4 0 0), 2θ 29.82, d = 2.996 Å, I = 43
- (1 1 1), 2θ 30.40, d = 2.940 Å, I = 100
- (3 1 1), 2θ 37.22, d = 2.416 Å, I = 34
- (0 2 0), 2θ 42.03, d = 2.150 Å, I = 19
- (0 0 2), 2θ 42.24, d = 2.139 Å, I = 18
- (5 1 1), 2θ 48.40, d = 1.881 Å, I = 36
- (4 2 0), 2θ 52.38, d = 1.747 Å, I = 18
- (4 0 2), 2θ 52.56, d = 1.741 Å, I = 18
- (0 2 2), 2θ 61.11, d = 1.516 Å, I = 12
- (4 2 2), 2θ 69.47, d = 1.353 Å, I = 16